Structure and calculated X-ray powder pattern of Sm3Co2Sn4 (a cell relaxed with GGA-PBE; Cu Kα (λ = 1.5418 Å)).
Peak positions follow from Bragg's law for the DFT cell and can differ from measured ones.

Largest 8 diffraction maxima, sorted by position, 2θ = 10–90°:
2.876 Å, 2θ = 31.10°, rel. 66.9; 2.837 Å, 2θ = 31.54°, rel. 69.5; 2.793 Å, 2θ = 32.05°, rel. 100.0; 2.761 Å, 2θ = 32.43°, rel. 24.7; 2.412 Å, 2θ = 37.28°, rel. 14.1; 2.248 Å, 2θ = 40.11°, rel. 45.7; 2.229 Å, 2θ = 40.47°, rel. 48.3; 1.751 Å, 2θ = 52.25°, rel. 16.1

Cell and atoms:
```
data_Sm3Co2Sn4
_space_group_name_H-M_alt 'P 1'
_space_group_IT_number 1
_space_group_name_Hall 'P 1'
_cell_length_a 6.1241
_cell_length_b 6.1241
_cell_length_c 8.6098
_cell_angle_alpha 104.73
_cell_angle_beta 104.73
_cell_angle_gamma 43.08
loop_
_atom_site_label
_atom_site_fract_x
_atom_site_fract_y
_atom_site_fract_z
_atom_site_occupancy
Sm1 0.0000 0.0000 0.0000 1
Sm2 0.3723 0.3723 0.3135 1
Sm3 0.6277 0.6277 0.6865 1
Co1 0.3013 0.3013 0.6132 1
Co2 0.6987 0.6987 0.3868 1
Sn1 0.0944 0.0944 0.3926 1
Sn2 0.2949 0.2949 0.9128 1
Sn3 0.7051 0.7051 0.0872 1
Sn4 0.9056 0.9056 0.6074 1
```